Entry 1:
Simulated powder diffraction line list
Compound: Li2VFeP4O14
Radiation: copper Kα
Structure: DFT lattice parameters and positions (GGA+U)

Crystal structure
abc: 7.175 8.237 9.779
angles: 90.00 111.45 90.00
Space group P2_1 (No. 4)
Unique sites:
Li 0.073 0.000 0.249
Li 0.424 0.502 0.251
V 0.472 0.139 0.243
Fe 0.026 0.639 0.258
P 0.038 0.320 0.061
P 0.149 0.421 0.563
P 0.348 0.924 0.935
P 0.460 0.819 0.439
O 0.003 0.318 0.897
O 0.009 0.332 0.624
O 0.047 0.462 0.401
O 0.121 0.485 0.130
O 0.165 0.178 0.148
O 0.174 0.791 0.921
O 0.239 0.571 0.657
O 0.256 0.073 0.841
O 0.326 0.291 0.579
O 0.334 0.677 0.352
O 0.377 0.983 0.370
O 0.449 0.964 0.098
O 0.490 0.837 0.875
O 0.498 0.817 0.603

Peak list (10 most intense, 2θ from 15° to 90°, in order of rising 2θ)
hkl  2θ (°)  intensity
1 1 -1  17.1  1000
1 1 1  22.0  220
0 1 2  22.3  452
1 2 -1  25.4  172
2 0 0  26.7  234
2 1 0  28.9  291
0 2 2  29.2  568
1 1 -3  29.6  278
2 2 -2  34.6  165
1 3 -3  43.2  134

Entry 2:
Simulated powder diffraction line list
Compound: Li6VFe3P6O24
Radiation: copper Kα
Structure: DFT lattice parameters and positions (GGA+U)

Crystal structure
abc: 8.600 8.630 8.646
angles: 61.54 61.42 61.37
Space group P1 (No. 1)
Unique sites:
Li 0.000 0.000 0.000
Li 0.091 0.909 0.501
Li 0.188 0.418 0.391
Li 0.366 0.763 0.150
Li 0.584 0.605 0.811
Li 0.815 0.260 0.646
V 0.984 0.404 0.800
Fe 0.194 0.608 0.005
Fe 0.488 0.902 0.291
Fe 0.695 0.120 0.507
P 0.091 0.211 0.201
P 0.298 0.006 0.692
P 0.390 0.509 0.603
P 0.590 0.299 0.113
P 0.792 0.808 0.902
P 0.886 0.721 0.403
O 0.030 0.246 0.044
O 0.074 0.694 0.237
O 0.108 0.168 0.725
O 0.149 0.371 0.169
O 0.228 0.453 0.638
O 0.249 0.017 0.222
O 0.278 0.844 0.884
O 0.311 0.961 0.533
O 0.358 0.564 0.766
O 0.390 0.680 0.421
O 0.427 0.493 0.090
O 0.469 0.050 0.649
O 0.537 0.138 0.145
O 0.580 0.350 0.583
O 0.603 0.827 0.060
O 0.644 0.266 0.272
O 0.713 0.762 0.362
O 0.748 0.325 0.919
O 0.794 0.988 0.731
O 0.825 0.645 0.847
O 0.871 0.878 0.452
O 0.909 0.527 0.561
O 0.934 0.188 0.395
O 0.955 0.771 0.962

Peak list (10 most intense, 2θ from 15° to 90°, in order of rising 2θ)
hkl  2θ (°)  intensity
0 1 -1  20.1  277
1 1 2  20.6  545
2 1 1  20.7  253
1 2 0  23.9  1000
2 0 1  24.0  493
0 2 2  29.0  453
1 3 2  32.7  386
3 2 1  32.9  187
1 1 -2  35.2  238
-2 1 1  35.4  196

Entry 3:
Simulated powder diffraction line list
Compound: LiVFeP4O14
Radiation: copper Kα
Structure: DFT lattice parameters and positions (GGA+U)

Crystal structure
abc: 4.951 7.047 8.041
angles: 89.93 88.82 73.82
Space group P1 (No. 1)
Unique sites:
Li 0.000 0.000 0.000
V 0.937 0.345 0.353
Fe 0.526 0.788 0.839
P 0.107 0.568 0.035
P 0.331 0.574 0.533
P 0.497 0.182 0.117
P 0.971 0.961 0.612
O 0.115 0.454 0.528
O 0.142 0.983 0.764
O 0.167 0.799 0.486
O 0.262 0.728 0.029
O 0.308 0.173 0.266
O 0.331 0.357 0.995
O 0.445 0.577 0.706
O 0.558 0.510 0.396
O 0.577 0.998 0.006
O 0.708 0.901 0.657
O 0.781 0.220 0.161
O 0.876 0.596 0.910
O 0.897 0.147 0.502
O 0.993 0.549 0.213

Peak list (10 most intense, 2θ from 15° to 90°, in order of rising 2θ)
hkl  2θ (°)  intensity
0 1 -1  17.1  1000
1 0 -1  21.9  107
1 1 1  22.4  130
1 1 -1  22.7  171
1 -1 0  25.7  148
1 -1 1  27.9  125
-1 1 1  28.2  122
1 1 2  29.5  282
1 2 1  29.9  113
1 1 -2  30.0  297

Entry 4:
Simulated powder diffraction line list
Compound: LiVFeP4O14
Radiation: copper Kα
Structure: DFT lattice parameters and positions (GGA+U)

Crystal structure
abc: 4.893 6.987 8.170
angles: 90.15 90.81 106.93
Space group P1 (No. 1)
Unique sites:
Li 0.000 0.000 0.000
V 0.622 0.599 0.860
Fe 0.047 0.055 0.369
P 0.078 0.424 0.085
P 0.227 0.845 0.681
P 0.443 0.812 0.185
P 0.613 0.233 0.590
O 0.115 0.836 0.507
O 0.234 0.937 0.177
O 0.259 0.581 0.217
O 0.270 0.409 0.940
O 0.412 0.701 0.705
O 0.420 0.239 0.443
O 0.432 0.067 0.721
O 0.586 0.812 0.016
O 0.663 0.865 0.320
O 0.694 0.427 0.693
O 0.827 0.499 0.026
O 0.880 0.176 0.548
O 0.975 0.223 0.170
O 0.996 0.813 0.813

Peak list (10 most intense, 2θ from 15° to 90°, in order of rising 2θ)
hkl  2θ (°)  intensity
0 1 -1  17.1  1000
0 1 1  17.2  860
1 0 -1  21.7  259
1 0 1  22.0  208
-1 1 1  22.5  387
1 -1 1  22.7  390
1 1 0  26.2  299
-1 1 2  29.4  468
1 -1 2  29.7  445
1 -2 1  30.0  407

Entry 5:
Simulated powder diffraction line list
Compound: Li2VFeP4O14
Radiation: copper Kα
Structure: DFT lattice parameters and positions (GGA+U)

Crystal structure
abc: 7.153 8.256 9.767
angles: 90.00 111.37 90.00
Space group P2_1 (No. 4)
Unique sites:
Li 0.175 0.000 0.499
Li 0.176 0.000 0.000
V 0.228 0.362 0.006
Fe 0.233 0.364 0.508
P 0.022 0.682 0.810
P 0.023 0.683 0.311
P 0.413 0.579 0.813
P 0.415 0.579 0.314
O 0.006 0.519 0.880
O 0.008 0.518 0.380
O 0.017 0.325 0.602
O 0.018 0.324 0.102
O 0.105 0.185 0.854
O 0.106 0.184 0.354
O 0.253 0.709 0.328
O 0.253 0.710 0.829
O 0.353 0.537 0.651
O 0.353 0.539 0.151
O 0.384 0.169 0.627
O 0.386 0.167 0.126
O 0.417 0.430 0.408
O 0.417 0.430 0.907

Peak list (10 most intense, 2θ from 15° to 90°, in order of rising 2θ)
hkl  2θ (°)  intensity
1 1 0  17.1  1000
1 1 -2  22.0  219
0 1 2  22.3  448
1 2 0  25.4  173
2 0 -2  26.8  235
2 1 -2  28.9  377
0 2 2  29.2  570
1 1 2  29.6  276
2 2 0  34.6  165
1 3 2  43.1  143

Entry 6:
Simulated powder diffraction line list
Compound: Li4VFe3P4O16
Radiation: copper Kα
Structure: DFT lattice parameters and positions (GGA+U)

Crystal structure
abc: 4.752 6.111 10.463
angles: 90.00 90.07 90.00
Space group Pm (No. 6)
Unique sites:
Li 0.000 0.249 0.000
Li 0.501 0.250 0.500
V 0.983 0.500 0.278
Fe 0.025 0.000 0.718
Fe 0.477 0.000 0.220
Fe 0.525 0.500 0.781
P 0.082 0.500 0.595
P 0.419 0.500 0.095
P 0.582 0.000 0.906
P 0.916 0.000 0.406
O 0.207 0.500 0.458
O 0.216 0.298 0.666
O 0.240 0.000 0.403
O 0.259 0.000 0.904
O 0.285 0.297 0.166
O 0.294 0.500 0.958
O 0.706 0.000 0.043
O 0.715 0.203 0.835
O 0.742 0.500 0.097
O 0.759 0.500 0.597
O 0.780 0.201 0.336
O 0.795 0.000 0.544

Peak list (10 most intense, 2θ from 15° to 90°, in order of rising 2θ)
hkl  2θ (°)  intensity
0 0 2  16.9  303
1 0 1  20.5  590
0 1 2  22.4  211
1 1 -1  25.2  805
0 2 0  29.2  747
1 0 3  31.8  270
1 1 -3  35.1  1000
1 2 1  36.0  296
2 0 -2  41.7  197
2 2 -2  51.8  357